Calculated XRD peak list of Fe6W6C for Cu Kα (λ = 1.5418 Å), from the GGA-PBE geometry in OQMD.
Intensities are scaled so that the largest is 100.

Most intense lines, 2θ = 10–90°, low angle first:
2θ 14.05, intensity 8
2θ 32.82, intensity 37
2θ 35.86, intensity 30
2θ 40.48, intensity 54
2θ 43.06, intensity 100
2θ 47.09, intensity 37
2θ 60.58, intensity 16
2θ 65.70, intensity 13
2θ 70.63, intensity 17
2θ 73.63, intensity 46
2θ 75.41, intensity 11
2θ 89.29, intensity 16

Structural model:
abc: 7.719 7.719 7.719
angles: 60.00 60.00 60.00
Fractional positions:
Fe1 0.000 0.000 0.000
Fe2 0.000 0.000 0.500
Fe3 0.000 0.500 0.000
Fe4 0.110 0.797 0.797
Fe5 0.203 0.203 0.203
Fe6 0.203 0.203 0.890
Fe7 0.203 0.890 0.203
Fe8 0.500 0.000 0.000
Fe9 0.797 0.110 0.797
Fe10 0.797 0.797 0.110
Fe11 0.797 0.797 0.797
Fe12 0.890 0.203 0.203
W1 0.176 0.176 0.574
W2 0.176 0.574 0.176
W3 0.176 0.574 0.574
W4 0.426 0.426 0.824
W5 0.426 0.824 0.426
W6 0.426 0.824 0.824
W7 0.574 0.176 0.176
W8 0.574 0.176 0.574
W9 0.574 0.574 0.176
W10 0.824 0.426 0.426
W11 0.824 0.426 0.824
W12 0.824 0.824 0.426
C1 0.375 0.375 0.375
C2 0.625 0.625 0.625


Calculated XRD peak list of Fe2W2C for Cu Kα (λ = 1.5418 Å), from the GGA-PBE geometry in OQMD.
Intensities are scaled so that the largest is 100.

Most intense lines, 2θ = 10–90°, low angle first:
2θ 13.64, intensity 12
2θ 31.84, intensity 31
2θ 34.79, intensity 28
2θ 39.26, intensity 54
2θ 41.75, intensity 100
2θ 45.66, intensity 36
2θ 58.65, intensity 16
2θ 63.58, intensity 13
2θ 68.30, intensity 15
2θ 71.17, intensity 47
2θ 86.06, intensity 16
2θ 88.76, intensity 12

Structural model:
abc: 7.948 7.948 7.948
angles: 60.00 60.00 60.00
Fractional positions:
Fe1 0.000 0.000 0.000
Fe2 0.000 0.000 0.500
Fe3 0.000 0.500 0.000
Fe4 0.117 0.794 0.794
Fe5 0.206 0.206 0.206
Fe6 0.206 0.206 0.883
Fe7 0.206 0.883 0.206
Fe8 0.500 0.000 0.000
Fe9 0.794 0.117 0.794
Fe10 0.794 0.794 0.117
Fe11 0.794 0.794 0.794
Fe12 0.883 0.206 0.206
W1 0.178 0.178 0.572
W2 0.178 0.572 0.178
W3 0.178 0.572 0.572
W4 0.428 0.428 0.822
W5 0.428 0.822 0.428
W6 0.428 0.822 0.822
W7 0.572 0.178 0.178
W8 0.572 0.178 0.572
W9 0.572 0.572 0.178
W10 0.822 0.428 0.428
W11 0.822 0.428 0.822
W12 0.822 0.822 0.428
C1 0.000 0.500 0.500
C2 0.375 0.375 0.375
C3 0.500 0.000 0.500
C4 0.500 0.500 0.000
C5 0.500 0.500 0.500
C6 0.625 0.625 0.625


Calculated XRD peak list of Y2FeC for Cu Kα (λ = 1.5418 Å), from the GGA-PBE geometry in OQMD.
Intensities are scaled so that the largest is 100.

Most intense lines, 2θ = 10–90°, low angle first:
2θ 28.64, intensity 16
2θ 29.34, intensity 17
2θ 34.36, intensity 54
2θ 34.49, intensity 100
2θ 38.13, intensity 25
2θ 38.40, intensity 15
2θ 50.55, intensity 29
2θ 50.83, intensity 14
2θ 53.99, intensity 9
2θ 62.80, intensity 15
2θ 65.04, intensity 18
2θ 66.52, intensity 9

Structural model:
abc: 6.233 6.233 14.602
angles: 102.20 102.20 60.34
Fractional positions:
Y1 0.028 0.874 0.601
Y2 0.126 0.972 0.899
Y3 0.198 0.364 0.094
Y4 0.299 0.472 0.407
Y5 0.364 0.198 0.594
Y6 0.472 0.299 0.907
Y7 0.528 0.701 0.093
Y8 0.636 0.802 0.406
Y9 0.701 0.528 0.593
Y10 0.802 0.636 0.906
Y11 0.874 0.028 0.101
Y12 0.972 0.126 0.399
Fe1 0.081 0.296 0.750
Fe2 0.257 0.743 0.250
Fe3 0.296 0.081 0.250
Fe4 0.704 0.919 0.750
Fe5 0.743 0.257 0.750
Fe6 0.919 0.704 0.250
C1 0.000 0.500 0.500
C2 0.165 0.669 0.997
C3 0.331 0.835 0.503
C4 0.500 0.000 0.000
C5 0.669 0.165 0.497
C6 0.835 0.331 0.003


Calculated XRD peak list of Hf2Ga3W4C3 for Cu Kα (λ = 1.5418 Å), from the GGA-PBE geometry in OQMD.
Intensities are scaled so that the largest is 100.

Most intense lines, 2θ = 10–90°, low angle first:
2θ 13.35, intensity 23
2θ 32.86, intensity 36
2θ 33.54, intensity 14
2θ 38.77, intensity 100
2θ 38.91, intensity 50
2θ 40.82, intensity 26
2θ 53.29, intensity 13
2θ 58.62, intensity 20
2θ 58.78, intensity 10
2θ 72.51, intensity 14
2θ 72.89, intensity 11
2θ 73.81, intensity 12

Structural model:
abc: 5.447 5.447 13.646
angles: 101.72 101.72 60.16
Fractional positions:
Hf1 0.034 0.869 0.604
Hf2 0.131 0.966 0.896
Hf3 0.869 0.034 0.104
Hf4 0.966 0.131 0.396
Ga1 0.086 0.310 0.750
Ga2 0.310 0.086 0.250
Ga3 0.485 0.515 0.750
Ga4 0.515 0.485 0.250
Ga5 0.690 0.914 0.750
Ga6 0.914 0.690 0.250
W1 0.195 0.360 0.082
W2 0.305 0.473 0.418
W3 0.360 0.195 0.582
W4 0.473 0.305 0.918
W5 0.527 0.695 0.082
W6 0.640 0.805 0.418
W7 0.695 0.527 0.582
W8 0.805 0.640 0.918
C1 0.000 0.500 0.500
C2 0.163 0.675 0.000
C3 0.325 0.837 0.500
C4 0.500 0.000 0.000
C5 0.675 0.163 0.500
C6 0.837 0.325 0.000


Calculated XRD peak list of Ho4TlGaC2 for Cu Kα (λ = 1.5418 Å), from the GGA-PBE geometry in OQMD.
Intensities are scaled so that the largest is 100.

Most intense lines, 2θ = 10–90°, low angle first:
2θ 28.80, intensity 24
2θ 30.98, intensity 6
2θ 33.53, intensity 100
2θ 33.97, intensity 19
2θ 45.12, intensity 15
2θ 51.03, intensity 22
2θ 55.05, intensity 6
2θ 60.51, intensity 14
2θ 62.45, intensity 17
2θ 62.73, intensity 19
2θ 83.04, intensity 6
2θ 84.75, intensity 15

Structural model:
abc: 3.580 3.580 15.833
angles: 90.00 90.00 120.00
Fractional positions:
Ho1 0.000 0.000 0.154
Ho2 0.000 0.000 0.846
Ho3 0.333 0.667 0.324
Ho4 0.333 0.667 0.676
Tl1 0.000 0.000 0.500
Ga1 0.333 0.667 0.000
C1 0.667 0.333 0.243
C2 0.667 0.333 0.757


Calculated XRD peak list of Lu4Nb2Ga3C3 for Cu Kα (λ = 1.5418 Å), from the GGA-PBE geometry in OQMD.
Intensities are scaled so that the largest is 100.

Most intense lines, 2θ = 10–90°, low angle first:
2θ 12.59, intensity 18
2θ 25.34, intensity 19
2θ 30.52, intensity 72
2θ 31.16, intensity 24
2θ 31.27, intensity 16
2θ 36.00, intensity 100
2θ 36.15, intensity 95
2θ 36.35, intensity 92
2θ 38.41, intensity 46
2θ 54.25, intensity 58
2θ 66.75, intensity 16
2θ 68.00, intensity 16

Structural model:
abc: 5.856 5.856 14.502
angles: 102.24 102.24 60.05
Fractional positions:
Lu1 0.043 0.192 0.099
Lu2 0.123 0.300 0.401
Lu3 0.192 0.043 0.599
Lu4 0.300 0.123 0.901
Lu5 0.700 0.877 0.099
Lu6 0.808 0.957 0.401
Lu7 0.877 0.700 0.599
Lu8 0.957 0.808 0.901
Nb1 0.351 0.526 0.076
Nb2 0.474 0.649 0.424
Nb3 0.526 0.351 0.576
Nb4 0.649 0.474 0.924
Ga1 0.156 0.844 0.250
Ga2 0.320 0.418 0.752
Ga3 0.418 0.320 0.252
Ga4 0.582 0.680 0.748
Ga5 0.680 0.582 0.248
Ga6 0.844 0.156 0.750
C1 0.000 0.500 0.000
C2 0.189 0.656 0.500
C3 0.344 0.811 0.000
C4 0.500 0.000 0.500
C5 0.656 0.189 0.000
C6 0.811 0.344 0.500


Calculated XRD peak list of Lu2Sc4Ga3C3 for Cu Kα (λ = 1.5418 Å), from the GGA-PBE geometry in OQMD.
Intensities are scaled so that the largest is 100.

Most intense lines, 2θ = 10–90°, low angle first:
2θ 17.76, intensity 23
2θ 24.04, intensity 27
2θ 27.01, intensity 32
2θ 28.61, intensity 28
2θ 30.80, intensity 21
2θ 31.42, intensity 23
2θ 35.78, intensity 30
2θ 35.99, intensity 76
2θ 36.04, intensity 100
2θ 36.99, intensity 36
2θ 39.69, intensity 19
2θ 64.50, intensity 21

Structural model:
abc: 5.808 5.808 14.966
angles: 101.24 101.24 59.96
Fractional positions:
Lu1 0.034 0.869 0.599
Lu2 0.131 0.966 0.901
Lu3 0.869 0.034 0.099
Lu4 0.966 0.131 0.401
Sc1 0.193 0.358 0.080
Sc2 0.304 0.476 0.419
Sc3 0.358 0.193 0.580
Sc4 0.476 0.304 0.919
Sc5 0.524 0.696 0.081
Sc6 0.642 0.807 0.420
Sc7 0.696 0.524 0.581
Sc8 0.807 0.642 0.920
Ga1 0.085 0.395 0.750
Ga2 0.395 0.085 0.250
Ga3 0.433 0.567 0.250
Ga4 0.567 0.433 0.750
Ga5 0.605 0.915 0.750
Ga6 0.915 0.605 0.250
C1 0.000 0.500 0.500
C2 0.166 0.668 0.000
C3 0.332 0.834 0.500
C4 0.500 0.000 0.000
C5 0.668 0.166 0.500
C6 0.834 0.332 0.000


Calculated XRD peak list of Ga2Mo8C3N3 for Cu Kα (λ = 1.5418 Å), from the GGA-PBE geometry in OQMD.
Intensities are scaled so that the largest is 100.

Most intense lines, 2θ = 10–90°, low angle first:
2θ 33.43, intensity 26
2θ 34.13, intensity 24
2θ 36.82, intensity 55
2θ 38.73, intensity 86
2θ 39.36, intensity 41
2θ 40.96, intensity 100
2θ 55.78, intensity 14
2θ 59.30, intensity 64
2θ 73.10, intensity 13
2θ 73.52, intensity 39
2θ 74.59, intensity 17
2θ 75.15, intensity 17

Structural model:
abc: 3.117 3.117 22.893
angles: 90.00 90.00 120.00
Fractional positions:
Ga1 0.333 0.667 0.251
Ga2 0.667 0.333 0.749
Mo1 0.000 0.000 0.156
Mo2 0.000 0.000 0.344
Mo3 0.000 0.000 0.656
Mo4 0.000 0.000 0.844
Mo5 0.333 0.667 0.057
Mo6 0.333 0.667 0.451
Mo7 0.667 0.333 0.549
Mo8 0.667 0.333 0.943
C1 0.000 0.000 0.000
C2 0.333 0.667 0.888
C3 0.667 0.333 0.112
N1 0.000 0.000 0.500
N2 0.333 0.667 0.607
N3 0.667 0.333 0.393


Calculated XRD peak list of GaMo4C2S for Cu Kα (λ = 1.5418 Å), from the GGA-PBE geometry in OQMD.
Intensities are scaled so that the largest is 100.

Most intense lines, 2θ = 10–90°, low angle first:
2θ 14.21, intensity 9
2θ 32.96, intensity 25
2θ 33.75, intensity 7
2θ 36.04, intensity 6
2θ 39.62, intensity 100
2θ 43.55, intensity 14
2θ 55.68, intensity 12
2θ 58.85, intensity 22
2θ 69.54, intensity 4
2θ 73.29, intensity 16
2θ 75.99, intensity 16
2θ 77.30, intensity 10

Structural model:
abc: 3.138 3.138 12.469
angles: 90.00 90.00 120.00
Fractional positions:
Ga1 0.000 0.000 0.000
Mo1 0.000 0.000 0.349
Mo2 0.000 0.000 0.651
Mo3 0.333 0.667 0.169
Mo4 0.333 0.667 0.831
C1 0.667 0.333 0.257
C2 0.667 0.333 0.743
S1 0.333 0.667 0.500


Calculated XRD peak list of Ta4Ga3Mo2C3 for Cu Kα (λ = 1.5418 Å), from the GGA-PBE geometry in OQMD.
Intensities are scaled so that the largest is 100.

Most intense lines, 2θ = 10–90°, low angle first:
2θ 13.25, intensity 10
2θ 26.67, intensity 5
2θ 33.13, intensity 23
2θ 33.82, intensity 9
2θ 38.96, intensity 100
2θ 40.48, intensity 18
2θ 53.27, intensity 14
2θ 59.19, intensity 25
2θ 72.62, intensity 14
2θ 73.14, intensity 15
2θ 74.16, intensity 18
2θ 83.66, intensity 4

Structural model:
abc: 5.407 5.407 13.731
angles: 101.38 101.38 60.04
Fractional positions:
Ta1 0.027 0.201 0.091
Ta2 0.141 0.302 0.409
Ta3 0.201 0.027 0.591
Ta4 0.302 0.141 0.909
Ta5 0.698 0.859 0.091
Ta6 0.799 0.973 0.409
Ta7 0.859 0.698 0.591
Ta8 0.973 0.799 0.909
Ga1 0.105 0.895 0.250
Ga2 0.268 0.418 0.749
Ga3 0.418 0.268 0.249
Ga4 0.582 0.732 0.751
Ga5 0.732 0.582 0.251
Ga6 0.895 0.105 0.750
Mo1 0.368 0.529 0.086
Mo2 0.471 0.632 0.414
Mo3 0.529 0.368 0.586
Mo4 0.632 0.471 0.914
C1 0.000 0.500 0.000
C2 0.159 0.671 0.500
C3 0.329 0.841 0.000
C4 0.500 0.000 0.500
C5 0.671 0.159 0.000
C6 0.841 0.329 0.500


Calculated XRD peak list of Nb8Ga2C3N3 for Cu Kα (λ = 1.5418 Å), from the GGA-PBE geometry in OQMD.
Intensities are scaled so that the largest is 100.

Most intense lines, 2θ = 10–90°, low angle first:
2θ 33.19, intensity 24
2θ 33.83, intensity 24
2θ 36.27, intensity 43
2θ 37.25, intensity 39
2θ 38.01, intensity 80
2θ 40.05, intensity 100
2θ 53.70, intensity 15
2θ 56.96, intensity 17
2θ 58.90, intensity 47
2θ 71.53, intensity 16
2θ 71.78, intensity 33
2θ 73.62, intensity 15

Structural model:
abc: 3.136 3.136 24.141
angles: 90.00 90.00 120.00
Fractional positions:
Nb1 0.000 0.000 0.159
Nb2 0.000 0.000 0.341
Nb3 0.000 0.000 0.659
Nb4 0.000 0.000 0.841
Nb5 0.333 0.667 0.056
Nb6 0.333 0.667 0.448
Nb7 0.667 0.333 0.552
Nb8 0.667 0.333 0.944
Ga1 0.333 0.667 0.251
Ga2 0.667 0.333 0.749
C1 0.000 0.000 0.000
C2 0.333 0.667 0.890
C3 0.667 0.333 0.110
N1 0.000 0.000 0.500
N2 0.333 0.667 0.607
N3 0.667 0.333 0.393